Theoretical powder X-ray diffraction pattern of RbMnSe2 for Cu Kα, from a cell relaxed with GGA-PBE.

Peak list (10 most intense, 15 to 90 degrees two-theta, low angle first)
2θ/deg  Rel. int.  hkl
22.88  10  1 0 1
29.10  100  1 0 3
31.28  24  1 1 0
33.82  9  1 1 2
44.83  22  2 0 0
50.18  27  1 1 6
54.34  33  2 1 3
81.11  7  2 1 9
86.63  11  3 1 6
89.92  8  3 2 3

Atomic structure:
```
RbMnSe2
1.0
4.044 0.000 0.000
0.000 4.044 0.000
0.000 0.000 14.134
Rb Mn Se
2 2 4
Direct
0.000 0.000 0.000
0.500 0.500 0.500
0.000 0.500 0.750
0.500 0.000 0.250
0.000 0.000 0.347
0.000 0.000 0.653
0.500 0.500 0.153
0.500 0.500 0.847
```